This entry pairs a crystal structure of InAg2I3 with its simulated powder X-ray diffraction pattern. Radiation: Cu Kα (λ = 1.5418 Å). Structure: a GGA-PBE-relaxed structure.

```
InAg2I3
1.0
7.783 0.000 0.000
0.000 4.630 0.000
-2.155 0.000 13.282
In Ag I
2 4 6
direct
0.145 0.250 0.318 In
0.855 0.750 0.682 In
0.030 0.750 0.076 Ag
0.476 0.250 0.579 Ag
0.524 0.750 0.421 Ag
0.970 0.250 0.924 Ag
0.171 0.750 0.887 I
0.251 0.750 0.547 I
0.366 0.750 0.212 I
0.634 0.250 0.788 I
0.749 0.250 0.453 I
0.829 0.250 0.113 I
```

Main lines, most intense first (10° ≤ 2θ ≤ 90°):
hkl, Position (°2θ), intensity
1 0 -1, 12.35, 100
1 0 3, 24.78, 60
2 1 -3, 34.34, 50
0 2 0, 38.91, 46
1 1 0, 22.42, 44
2 1 -2, 31.54, 44
1 1 -1, 22.87, 43
1 1 -3, 28.96, 39
3 1 1, 41.81, 39
3 1 -2, 40.63, 31


This entry pairs a crystal structure of InAg2I with its simulated powder X-ray diffraction pattern. Radiation: Cu Kα (λ = 1.5418 Å). Structure: a GGA-PBE-relaxed structure.

```
InAg2I
1.0
4.273 0.000 0.000
0.000 4.322 0.000
-0.132 -1.179 11.862
In Ag I
2 4 2
direct
0.000 0.000 0.000 In
0.492 0.963 0.789 In
0.487 0.420 0.615 Ag
0.503 0.472 0.963 Ag
0.986 0.929 0.620 Ag
0.995 0.480 0.796 Ag
0.488 0.812 0.185 I
0.981 0.383 0.445 I
```

Main lines, most intense first (10° ≤ 2θ ≤ 90°):
hkl, Position (°2θ), intensity
-1 1 3, 38.51, 100
1 1 -3, 35.92, 97
1 -1 3, 36.20, 96
0 2 0, 41.99, 93
2 0 0, 42.30, 92
1 1 3, 38.83, 89
0 0 5, 37.92, 73
1 -1 2, 32.31, 58
1 1 2, 34.27, 56
-1 1 2, 34.02, 49


Copy entry 1 word for word.
This entry pairs a crystal structure of InAg2I3 with its simulated powder X-ray diffraction pattern. Radiation: Cu Kα (λ = 1.5418 Å). Structure: a GGA-PBE-relaxed structure.

```
InAg2I3
1.0
7.783 0.000 0.000
0.000 4.630 0.000
-2.155 0.000 13.282
In Ag I
2 4 6
direct
0.145 0.250 0.318 In
0.855 0.750 0.682 In
0.030 0.750 0.076 Ag
0.476 0.250 0.579 Ag
0.524 0.750 0.421 Ag
0.970 0.250 0.924 Ag
0.171 0.750 0.887 I
0.251 0.750 0.547 I
0.366 0.750 0.212 I
0.634 0.250 0.788 I
0.749 0.250 0.453 I
0.829 0.250 0.113 I
```

Main lines, most intense first (10° ≤ 2θ ≤ 90°):
hkl, Position (°2θ), intensity
1 0 -1, 12.35, 100
1 0 3, 24.78, 60
2 1 -3, 34.34, 50
0 2 0, 38.91, 46
1 1 0, 22.42, 44
2 1 -2, 31.54, 44
1 1 -1, 22.87, 43
1 1 -3, 28.96, 39
3 1 1, 41.81, 39
3 1 -2, 40.63, 31